(1)
# Sr2PmMnSe4
Theoretical XRD peak list, Cu Kα (λ = 1.5418 Å). Input: DFT lattice parameters and positions (PBE).
Intensities are scaled so that the largest is 100.

Cell and atoms:
Unit cell a=7.3275 b=4.2291 c=7.4176 alpha=90.00 beta=109.83 gamma=90.00
Space group P2/m (No. 10)
Asymmetric unit:
Sr: 0.0000 0.0000 0.0000 [1 per cell]
Sr: 0.5000 0.5000 0.0000 [1 per cell]
Pm: 0.0000 0.5000 0.5000 [1 per cell]
Mn: 0.5000 0.0000 0.5000 [1 per cell]
Se: 0.2510 0.0000 0.7338 [2 per cell]
Se: 0.2715 0.5000 0.2806 [2 per cell]

Most intense lines, 15° ≤ 2θ ≤ 90°, most intense first:
hkl	Position (°2θ)	I_rel
1 1 1	29.85	100
0 2 0	42.74	73
2 0 -2	29.62	52
1 1 -3	42.34	36
2 2 -2	52.88	20
2 2 2	62.01	11
4 0 0	53.15	9
3 3 -1	78.30	9
0 0 4	52.45	9
5 1 -3	70.13	8



(2)
# Pm2MnSi6
Theoretical XRD peak list, Cu Kα (λ = 1.5418 Å). Input: DFT lattice parameters and positions (PBE).
Intensities are scaled so that the largest is 100.

Cell and atoms:
Unit cell a=5.7608 b=5.7608 c=5.3223 alpha=90.00 beta=90.00 gamma=120.00
Space group P-3m1 (No. 164)
Asymmetric unit:
Pm: 0.3333 0.6667 0.1558 [2 per cell]
Mn: 0.0000 0.0000 0.0000 [1 per cell]
Si: 0.1703 0.3407 0.6798 [6 per cell]

Most intense lines, 15° ≤ 2θ ≤ 90°, most intense first:
hkl	Position (°2θ)	I_rel
2 0 1	39.91	100
1 0 1	24.46	84
0 1 2	38.33	81
1 1 0	31.05	72
1 1 1	35.44	70
1 2 2	60.14	40
2 2 0	64.73	27
2 1 1	51.41	26
0 0 1	16.66	25
0 4 1	78.85	23



(3)
# Pm3MnTe6
Theoretical XRD peak list, Cu Kα (λ = 1.5418 Å). Input: DFT lattice parameters and positions (PBE).
Intensities are scaled so that the largest is 100.

Cell and atoms:
Unit cell a=12.3101 b=14.8245 c=7.4459 alpha=90.00 beta=90.00 gamma=90.00
Space group Cmc2_1 (No. 36)
Asymmetric unit:
Pm: 0.0000 0.0999 0.0000 [4 per cell]
Pm: 0.1773 0.4030 0.1077 [8 per cell]
Mn: 0.0000 0.2929 0.6476 [4 per cell]
Te: 0.0000 0.2740 0.2893 [4 per cell]
Te: 0.0000 0.4592 0.7958 [4 per cell]
Te: 0.1631 0.0370 0.3038 [8 per cell]
Te: 0.1730 0.2350 0.8216 [8 per cell]

Most intense lines, 15° ≤ 2θ ≤ 90°, most intense first:
hkl	Position (°2θ)	I_rel
3 3 1	30.76	100
3 1 2	33.05	74
0 4 2	34.14	47
2 2 1	22.25	43
3 5 0	37.42	39
1 3 1	22.77	28
6 0 0	44.14	26
3 7 3	61.87	23
3 1 3	43.03	22
0 4 1	26.86	21



(4)
# PmTm2Mn
Theoretical XRD peak list, Cu Kα (λ = 1.5418 Å). Input: DFT lattice parameters and positions (PBE).
Intensities are scaled so that the largest is 100.

Cell and atoms:
Unit cell a=3.4430 b=3.4430 c=8.9602 alpha=90.00 beta=90.00 gamma=90.00
Space group P4/mmm (No. 123)
Asymmetric unit:
Pm: 0.0000 0.0000 0.0000 [1 per cell]
Tm: 0.5000 0.5000 0.3082 [2 per cell]
Mn: 0.0000 0.0000 0.5000 [1 per cell]

Most intense lines, 15° ≤ 2θ ≤ 90°, most intense first:
hkl	Position (°2θ)	I_rel
1 0 2	32.81	100
1 1 0	36.92	51
1 0 1	27.76	33
2 1 2	63.93	29
1 1 3	48.22	26
0 0 3	29.92	23
2 0 0	53.21	18
1 0 5	58.02	17
0 0 6	62.23	15
2 1 5	82.62	13



(5)
# PmYMn17
Theoretical XRD peak list, Cu Kα (λ = 1.5418 Å). Input: DFT lattice parameters and positions (PBE).
Intensities are scaled so that the largest is 100.

Cell and atoms:
Unit cell a=8.6853 b=8.6853 c=11.6839 alpha=90.00 beta=90.00 gamma=120.00
Space group R3m (No. 160, hexagonal axes)
Asymmetric unit:
Pm: 0.0000 0.0000 0.0000 [3 per cell]
Y: 0.0000 0.0000 0.7103 [3 per cell]
Mn: 0.0000 0.0000 0.2570 [3 per cell]
Mn: 0.0000 0.0000 0.4557 [3 per cell]
Mn: 0.0004 0.2742 0.3566 [18 per cell]
Mn: 0.0156 0.5078 0.2176 [9 per cell]
Mn: 0.1671 0.3342 0.1901 [9 per cell]
Mn: 0.1741 0.3483 0.8274 [9 per cell]

Most intense lines, 15° ≤ 2θ ≤ 90°, most intense first:
hkl	Position (°2θ)	I_rel
3 0 3	42.90	100
2 2 0	41.59	95
0 2 4	39.05	66
3 0 0	35.81	42
2 2 3	47.97	34
1 1 3	30.84	32
2 1 4	44.47	29
2 0 5	45.71	29
2 1 1	32.41	25
1 4 3	61.29	24



(6)
# Pr6Mn23
Theoretical XRD peak list, Cu Kα (λ = 1.5418 Å). Input: DFT lattice parameters and positions (PBE).
Intensities are scaled so that the largest is 100.

Cell and atoms:
Unit cell a=12.5098 b=12.5098 c=12.5098 alpha=90.00 beta=90.00 gamma=90.00
Space group Fm-3m (No. 225)
Asymmetric unit:
Pr: 0.0000 0.0000 0.2027 [24 per cell]
Mn: 0.0000 0.0000 0.5000 [4 per cell]
Mn: 0.0000 0.2500 0.2500 [24 per cell]
Mn: 0.1215 0.1215 0.3785 [32 per cell]
Mn: 0.1783 0.1783 0.1783 [32 per cell]

Most intense lines, 15° ≤ 2θ ≤ 90°, most intense first:
hkl	Position (°2θ)	I_rel
3 3 3	37.35	100
4 4 0	40.80	95
4 2 2	35.14	34
3 3 1	31.16	30
8 2 2	63.05	29
7 3 3	60.59	23
2 2 2	24.65	23
6 0 0	43.40	19
4 0 0	28.54	18
5 5 1	52.22	17



(7)
# Pr2MnSi3Pt12
Theoretical XRD peak list, Cu Kα (λ = 1.5418 Å). Input: DFT lattice parameters and positions (PBE).
Intensities are scaled so that the largest is 100.

Cell and atoms:
Unit cell a=8.2434 b=8.2434 c=18.2539 alpha=90.00 beta=90.00 gamma=120.00
Space group R-3m (No. 166, hexagonal axes)
Asymmetric unit:
Pr: 0.0000 0.0000 0.1120 [6 per cell]
Mn: 0.0000 0.0000 0.5000 [3 per cell]
Si: 0.0000 0.5000 0.0000 [9 per cell]
Pt: 0.0009 0.5004 0.8726 [18 per cell]
Pt: 0.0298 0.5149 0.3682 [18 per cell]

Most intense lines, 15° ≤ 2θ ≤ 90°, most intense first:
hkl	Position (°2θ)	I_rel
0 2 4	31.83	100
2 2 0	43.93	51
2 0 8	47.28	39
4 0 4	55.27	19
2 4 4	73.15	16
0 4 8	66.51	13
4 2 8	83.18	13
2 2 12	78.08	13
1 0 4	23.13	10
1 1 0	21.56	8



(8)
# Rb2PrMnTe4
Theoretical XRD peak list, Cu Kα (λ = 1.5418 Å). Input: DFT lattice parameters and positions (PBE).
Intensities are scaled so that the largest is 100.

Cell and atoms:
Unit cell a=9.1199 b=9.5504 c=13.7223 alpha=90.00 beta=90.00 gamma=90.00
Space group Imma (No. 74)
Asymmetric unit:
Rb: 0.0000 0.0000 0.0000 [4 per cell]
Rb: 0.2500 0.2500 0.2500 [4 per cell]
Pr: 0.0000 0.0000 0.5000 [4 per cell]
Mn: 0.2500 0.2500 0.7500 [4 per cell]
Te: 0.0000 0.0681 0.7394 [8 per cell]
Te: 0.2272 0.2500 0.5121 [8 per cell]

Most intense lines, 15° ≤ 2θ ≤ 90°, most intense first:
hkl	Position (°2θ)	I_rel
2 2 0	27.04	100
2 2 4	37.84	78
0 0 4	25.97	67
4 0 4	47.91	23
4 0 0	39.53	22
2 2 8	60.88	17
0 0 8	53.38	13
0 4 4	46.33	12
0 4 0	37.67	12
6 2 4	70.59	10



(9)
# PrMnSi2Rh
Theoretical XRD peak list, Cu Kα (λ = 1.5418 Å). Input: DFT lattice parameters and positions (PBE).
Intensities are scaled so that the largest is 100.

Cell and atoms:
Unit cell a=4.0770 b=4.0770 c=10.3480 alpha=90.00 beta=90.00 gamma=90.00
Space group I-4m2 (No. 119)
Asymmetric unit:
Pr: 0.0000 0.0000 0.0000 [2 per cell]
Mn: 0.0000 0.5000 0.7500 [2 per cell]
Si: 0.0000 0.0000 0.3782 [4 per cell]
Rh: 0.0000 0.5000 0.2500 [2 per cell]

Most intense lines, 15° ≤ 2θ ≤ 90°, most intense first:
hkl	Position (°2θ)	I_rel
1 1 2	35.65	100
1 0 3	34.05	42
1 0 1	23.45	38
2 0 0	44.44	37
3 1 2	76.08	21
2 1 3	57.14	19
0 0 4	34.67	18
1 1 6	62.78	17
2 0 4	57.56	16
1 0 5	49.38	16



(10)
# Pr4MnSb9
Theoretical XRD peak list, Cu Kα (λ = 1.5418 Å). Input: DFT lattice parameters and positions (PBE).
Intensities are scaled so that the largest is 100.

Cell and atoms:
Unit cell a=24.3895 b=4.2346 c=15.8337 alpha=90.00 beta=97.99 gamma=90.00
Space group C2/m (No. 12)
Asymmetric unit:
Pr: 0.0590 0.0000 0.3200 [4 per cell]
Pr: 0.0662 0.0000 0.8919 [4 per cell]
Pr: 0.1134 0.0000 0.6409 [4 per cell]
Pr: 0.2058 0.0000 0.1125 [4 per cell]
Mn: 0.2298 0.5000 0.3754 [4 per cell]
Sb: 0.0000 0.0000 0.5000 [2 per cell]
Sb: 0.0000 0.5000 0.0000 [2 per cell]
Sb: 0.0403 0.5000 0.7360 [4 per cell]
Sb: 0.0720 0.0000 0.1145 [4 per cell]
Sb: 0.0916 0.5000 0.4797 [4 per cell]
Sb: 0.1414 0.5000 0.2294 [4 per cell]
Sb: 0.1658 0.5000 0.9571 [4 per cell]
Sb: 0.1918 0.0000 0.8330 [4 per cell]
Sb: 0.1934 0.0000 0.4716 [4 per cell]
Sb: 0.2179 0.5000 0.6942 [4 per cell]

Most intense lines, 15° ≤ 2θ ≤ 90°, most intense first:
hkl	Position (°2θ)	I_rel
5 1 -3	31.53	100
1 1 4	31.70	76
7 1 1	34.62	49
0 2 0	42.71	46
5 1 1	29.12	33
6 0 -4	29.54	24
4 0 -7	40.98	19
3 1 3	30.23	18
7 1 0	33.50	18
1 1 5	36.25	17



(11)
# PrMn2Se4
Theoretical XRD peak list, Cu Kα (λ = 1.5418 Å). Input: DFT lattice parameters and positions (PBE).
Intensities are scaled so that the largest is 100.

Cell and atoms:
Unit cell a=12.3763 b=14.0659 c=8.0775 alpha=90.00 beta=90.00 gamma=90.00
Space group Fdd2 (No. 43)
Asymmetric unit:
Pr: 0.0000 0.0000 0.0000 [8 per cell]
Mn: 0.1097 0.0922 0.5993 [16 per cell]
Se: 0.0582 0.1256 0.3018 [16 per cell]
Se: 0.0976 0.4094 0.1504 [16 per cell]

Most intense lines, 15° ≤ 2θ ≤ 90°, most intense first:
hkl	Position (°2θ)	I_rel
1 1 3	34.69	100
5 1 1	38.58	80
2 2 0	19.10	71
3 3 1	30.92	70
2 4 2	36.87	54
4 4 0	38.80	52
1 5 1	34.53	46
1 3 1	23.08	39
0 2 2	25.43	36
1 7 1	47.18	30



(12)
# PrMnTl2Se4
Theoretical XRD peak list, Cu Kα (λ = 1.5418 Å). Input: DFT lattice parameters and positions (PBE).
Intensities are scaled so that the largest is 100.

Cell and atoms:
Unit cell a=8.4161 b=8.7482 c=12.1071 alpha=90.00 beta=90.00 gamma=90.00
Space group Imma (No. 74)
Asymmetric unit:
Pr: 0.0000 0.0000 0.0000 [4 per cell]
Mn: 0.2500 0.2500 0.2500 [4 per cell]
Tl: 0.0000 0.0000 0.5000 [4 per cell]
Tl: 0.2500 0.2500 0.7500 [4 per cell]
Se: 0.0000 0.0484 0.2453 [8 per cell]
Se: 0.2359 0.2500 0.0234 [8 per cell]

Most intense lines, 15° ≤ 2θ ≤ 90°, most intense first:
hkl	Position (°2θ)	I_rel
0 0 4	29.47	100
2 2 4	42.18	47
2 2 8	69.36	18
4 0 4	53.00	13
4 0 0	42.99	12
0 2 2	25.12	12
0 4 0	41.28	11
0 4 4	51.56	11
2 0 2	25.78	10
2 1 3	32.40	9